Simulated powder X-ray diffraction pattern
Compound: NaAgSb2Te4
Radiation: a wavelength of 1.5418 Å
Structure: DFT lattice parameters and positions (GGA-PBE)
Neutral-atom scattering factors, no anomalous dispersion.

Cell and atoms:
abc: 8.660 8.986 12.270
angles: 90.00 90.00 90.00
Space group Fmmm (No. 69)
Symmetry-distinct sites (fractional):
Na (0.000, 0.000, 0.000)
Ag (0.000, 0.000, 0.500)
Sb (0.250, 0.250, 0.250)
Te (0.000, 0.000, 0.268)
Te (0.250, 0.250, 0.000)

The 8 most intense peaks (2θ = 15–90°), sorted by position:
| Position (°2θ) | d/Å | I_rel | h k l |
| --- | --- | --- | --- |
| 28.63 | 3.118 | 100.0 | 2 2 0 |
| 29.11 | 3.067 | 45.3 | 0 0 4 |
| 40.14 | 2.246 | 19.9 | 0 4 0 |
| 41.29 | 2.187 | 69.6 | 2 2 4 |
| 41.72 | 2.165 | 17.9 | 4 0 0 |
| 50.35 | 1.812 | 19.4 | 0 4 4 |
| 51.68 | 1.769 | 17.9 | 4 0 4 |
| 67.38 | 1.390 | 15.8 | 4 4 4 |